The following is a computed powder X-ray diffraction pattern of MgTe2Mo3WSe4S2. It was derived from a PBE-relaxed structure, using Cu Kα X-rays.
Neutral-atom scattering factors, no anomalous dispersion.

Peak list (12 most intense, 2θ from 5° to 70°, low angle first)
| two_theta | d_spacing | intensity | h k l |
| --- | --- | --- | --- |
| 6.98 | 12.661 | 20 | 0 0 3 |
| 11.65 | 7.596 | 100 | 0 0 5 |
| 13.99 | 6.330 | 15 | 0 0 6 |
| 30.99 | 2.886 | 52 | 1 0 0 |
| 33.19 | 2.700 | 13 | 1 0 5 |
| 36.41 | 2.467 | 81 | 1 0 -8 |
| 39.19 | 2.299 | 10 | 1 0 10 |
| 44.09 | 2.054 | 47 | -1 1 13 |
| 45.89 | 1.977 | 15 | 1 -1 14 |
| 55.08 | 1.667 | 28 | 1 1 0 |
| 56.50 | 1.629 | 10 | 1 1 5 |
| 67.83 | 1.382 | 13 | -2 2 8 |

Unit cell a=3.335 b=3.335 c=37.982 alpha=90.00 beta=90.00 gamma=120.00
Space group P1 (No. 1)
Inequivalent atoms, fractional coordinates:
Mg 0.000 0.000 0.000 [1 per cell]
Te 0.740 0.306 0.726 [1 per cell]
Te 0.740 0.306 0.826 [1 per cell]
Mo 0.073 0.973 0.400 [1 per cell]
Mo 0.073 0.973 0.776 [1 per cell]
Mo 0.740 0.306 0.212 [1 per cell]
W 0.740 0.306 0.587 [1 per cell]
Se 0.073 0.973 0.168 [1 per cell]
Se 0.073 0.973 0.256 [1 per cell]
Se 0.740 0.306 0.356 [1 per cell]
Se 0.740 0.306 0.444 [1 per cell]
S 0.073 0.973 0.547 [1 per cell]
S 0.073 0.973 0.628 [1 per cell]